The following is a simulated powder X-ray diffraction pattern of Sr2B5H3O11. It was derived from a DFT-relaxed cell (GGA-PBE, the Materials Project), using Cu Kα, 1.54184 Å.
Intensities are scaled so that the largest is 100.

Peak list (10 most intense, 2θ from 15° to 90°, low angle first)
index, two_theta, I/Imax
0 1 0, 15.33, 77
1 1 1, 17.06, 100
0 1 2, 20.93, 71
0 1 -2, 22.67, 70
0 2 0, 30.90, 90
2 1 2, 31.07, 52
0 0 4, 31.18, 94
2 1 -2, 31.63, 56
3 1 1, 42.56, 63
0 2 -4, 46.28, 60

Crystal structure
```
data_Sr2B5H3O11
_symmetry_space_group_name_H-M 'P 1'
_symmetry_Int_Tables_number 1
_cell_length_a 6.574
_cell_length_b 6.620
_cell_length_c 11.511
_cell_angle_alpha 85.52
_cell_angle_beta 88.92
_cell_angle_gamma 61.27
loop_
_symmetry_equiv_pos_as_xyz
'x,y,z'
loop_
_atom_site_label
_atom_site_fract_x
_atom_site_fract_y
_atom_site_fract_z
Sr1 0.000 0.000 0.000
Sr2 0.045 0.599 0.309
Sr3 0.195 0.998 0.514
Sr4 0.551 0.594 0.803
B1 0.088 0.471 0.982
B2 0.091 0.575 0.757
B3 0.281 0.425 0.565
B4 0.401 0.504 0.088
B5 0.476 0.130 0.008
B6 0.592 0.588 0.250
B7 0.595 0.504 0.476
B8 0.661 0.687 0.043
B9 0.673 0.093 0.524
B10 0.845 0.644 0.580
H1 0.082 0.087 0.262
H2 0.262 0.103 0.744
H3 0.342 0.119 0.260
H4 0.726 0.103 0.753
H5 0.810 0.129 0.233
H6 0.993 0.086 0.761
O1 0.053 0.452 0.535
O2 0.130 0.587 0.872
O3 0.156 0.562 0.079
O4 0.206 0.164 0.307
O5 0.213 0.987 0.738
O6 0.245 0.213 0.981
O7 0.284 0.489 0.687
O8 0.348 0.558 0.480
O9 0.443 0.679 0.020
O10 0.451 0.170 0.564
O11 0.453 0.499 0.215
O12 0.557 0.269 0.048
O13 0.635 0.625 0.568
O14 0.642 0.907 0.991
O15 0.645 0.593 0.364
O16 0.696 0.675 0.171
O17 0.751 0.248 0.490
O18 0.807 0.167 0.793
O19 0.832 0.863 0.519
O20 0.855 0.498 0.988
O21 0.873 0.652 0.710
O22 0.972 0.009 0.228
```